1.
Simulated powder X-ray diffraction pattern
Compound: Ac3Ge4Pd7
Radiation: Cu Kα X-rays
Structure: a structure optimized by DFT (PBE)
Lines closer than 0.1° are merged.

Atomic structure:
Lattice parameters (Å, degrees): 8.6196 8.6196 9.9946 125.36 125.36 28.99
Fractional positions:
Ac (0.0000, 0.0000, 0.0000)
Ac (0.3281, 0.3281, 0.3339)
Ac (0.6719, 0.6719, 0.6661)
Ge (0.1111, 0.1111, 0.8296)
Ge (0.3346, 0.3346, 0.7213)
Ge (0.6654, 0.6654, 0.2787)
Ge (0.8889, 0.8889, 0.1704)
Pd (0.0000, 0.0000, 0.5000)
Pd (0.1700, 0.1700, 0.4207)
Pd (0.3051, 0.3051, 0.9652)
Pd (0.4943, 0.4943, 0.7333)
Pd (0.5057, 0.5057, 0.2667)
Pd (0.6949, 0.6949, 0.0348)
Pd (0.8300, 0.8300, 0.5793)

Peak list (8 most intense, 15 to 90 degrees two-theta, most intense first)
d 2.635, I 100
d 2.157, I 23
d 2.669, I 19
d 1.467, I 16
d 2.230, I 16
d 3.101, I 15
d 2.499, I 12
d 1.551, I 10

=====

2.
Simulated powder X-ray diffraction pattern
Compound: CsBeZnH2
Radiation: Cu Kα X-rays
Structure: a structure optimized by DFT (PBE)
Lines closer than 0.1° are merged.

Atomic structure:
Lattice parameters (Å, degrees): 6.2933 3.7398 7.9653 90.00 90.00 90.00
Fractional positions:
Cs (0.0000, 0.0000, 0.0000)
Cs (0.0000, 0.5000, 0.5000)
Be (0.5000, 0.0000, 0.4862)
Be (0.5000, 0.5000, 0.9862)
Zn (0.5000, 0.0000, 0.1799)
Zn (0.5000, 0.5000, 0.6799)
H (0.3195, 0.0000, 0.3641)
H (0.3195, 0.5000, 0.8641)
H (0.6805, 0.0000, 0.3641)
H (0.6805, 0.5000, 0.8641)

Peak list (8 most intense, 15 to 90 degrees two-theta, most intense first)
d 3.365, I 100
d 3.385, I 89
d 2.981, I 73
d 2.047, I 65
d 2.305, I 63
d 3.147, I 57
d 3.983, I 26
d 1.507, I 25

=====

3.
Simulated powder X-ray diffraction pattern
Compound: Ba2NpN3
Radiation: Cu Kα X-rays
Structure: a structure optimized by DFT (PBE)
Lines closer than 0.1° are merged.

Atomic structure:
Lattice parameters (Å, degrees): 7.5784 7.5784 6.0591 90.00 90.00 132.14
Fractional positions:
Ba (0.0991, 0.9009, 0.7619)
Ba (0.4009, 0.5991, 0.7619)
Ba (0.5991, 0.4009, 0.2381)
Ba (0.9009, 0.0991, 0.2381)
Np (0.2500, 0.7500, 0.2487)
Np (0.7500, 0.2500, 0.7513)
N (0.0000, 0.5000, 0.0000)
N (0.1079, 0.8921, 0.2689)
N (0.3921, 0.6079, 0.2689)
N (0.5000, 0.0000, 0.0000)
N (0.6079, 0.3921, 0.7311)
N (0.8921, 0.1079, 0.7311)

Peak list (8 most intense, 15 to 90 degrees two-theta, most intense first)
d 3.153, I 100
d 3.074, I 29
d 3.030, I 28
d 2.158, I 24
d 1.790, I 20
d 1.772, I 19
d 1.577, I 17
d 2.309, I 12

=====

4.
Simulated powder X-ray diffraction pattern
Compound: CaY2
Radiation: Cu Kα X-rays
Structure: a structure optimized by DFT (PBE)
Lines closer than 0.1° are merged.

Atomic structure:
Lattice parameters (Å, degrees): 6.7812 6.7812 6.7812 60.00 60.00 60.00
Fractional positions:
Ca (0.1250, 0.1250, 0.1250)
Ca (0.8750, 0.8750, 0.8750)
Y (0.0000, 0.5000, 0.5000)
Y (0.5000, 0.0000, 0.5000)
Y (0.5000, 0.5000, 0.0000)
Y (0.5000, 0.5000, 0.5000)

Peak list (8 most intense, 15 to 90 degrees two-theta, most intense first)
d 2.892, I 100
d 2.768, I 67
d 5.537, I 42
d 1.846, I 34
d 1.695, I 33
d 1.446, I 26
d 1.249, I 20
d 2.398, I 19

=====

Q: What is the formula in the third record?
A: Ba2NpN3